[1]
KNbNi: computed XRD peak list (a wavelength of 1.5418 Å), based on the GGA-PBE geometry in Alexandria.
Neutral-atom scattering factors, no anomalous dispersion.

Cell and atoms:
```
data_KNbNi
_chemical_formula_sum 'K2 Nb2 Ni2'
_cell_length_a 3.4270
_cell_length_b 3.7532
_cell_length_c 12.7619
_cell_angle_alpha 90.00
_cell_angle_beta 97.16
_cell_angle_gamma 90.00
_symmetry_space_group_name_H-M 'P 1 21/m 1'
_symmetry_Int_Tables_number 11
_symmetry_space_group_name_Hall '-P 2yb'
loop_
_atom_site_label
_atom_site_type_symbol
_atom_site_fract_x
_atom_site_fract_y
_atom_site_fract_z
K1 K 0.1785 0.2500 0.3330
Nb1 Nb 0.4375 0.2500 0.9033
Ni1 Ni 0.0626 0.2500 0.0654
```

The 10 most intense peaks (10 to 90 degrees two-theta), most intense first:
- hkl 1 1 -4, 43.80 deg, I = 100
- hkl 1 1 3, 43.49 deg, I = 99
- hkl 0 0 2, 13.99 deg, I = 90
- hkl 1 1 1, 37.01 deg, I = 78
- hkl 0 2 0, 48.53 deg, I = 75
- hkl 1 1 0, 35.64 deg, I = 71
- hkl 0 1 2, 27.63 deg, I = 67
- hkl 1 1 2, 39.70 deg, I = 63
- hkl 0 0 4, 28.19 deg, I = 62
- hkl 0 0 5, 35.45 deg, I = 61


[2]
Mg2Pb3: computed XRD peak list (a wavelength of 1.5418 Å), based on the GGA-PBE geometry in Alexandria.
Neutral-atom scattering factors, no anomalous dispersion.

Cell and atoms:
```
data_Mg2Pb3
_chemical_formula_sum 'Mg4 Pb6'
_cell_length_a 3.5373
_cell_length_b 3.5373
_cell_length_c 21.9578
_cell_angle_alpha 90.00
_cell_angle_beta 90.00
_cell_angle_gamma 90.00
_symmetry_space_group_name_H-M 'P 4/m m m'
_symmetry_Int_Tables_number 123
_symmetry_space_group_name_Hall '-P 4 2'
loop_
_atom_site_label
_atom_site_type_symbol
_atom_site_fract_x
_atom_site_fract_y
_atom_site_fract_z
Mg1 Mg 0.0000 0.0000 0.0959
Mg2 Mg 0.0000 0.0000 0.2875
Pb1 Pb 0.0000 0.0000 0.5000
Pb2 Pb 0.5000 0.5000 0.0000
Pb3 Pb 0.5000 0.5000 0.1924
Pb4 Pb 0.5000 0.5000 0.3826
```

The 10 most intense peaks (10 to 90 degrees two-theta), most intense first:
- hkl 1 0 5, 32.50 deg, I = 100
- hkl 1 1 0, 35.90 deg, I = 43
- hkl 2 1 5, 62.40 deg, I = 33
- hkl 1 0 0, 25.18 deg, I = 30
- hkl 0 0 5, 20.22 deg, I = 21
- hkl 2 0 0, 51.68 deg, I = 16
- hkl 1 1 10, 55.70 deg, I = 15
- hkl 1 1 5, 41.55 deg, I = 14
- hkl 1 0 11, 52.65 deg, I = 9
- hkl 0 0 10, 41.11 deg, I = 9


[3]
Li2ZnPt2O6: computed XRD peak list (a wavelength of 1.5418 Å), based on the GGA-PBE geometry in Alexandria.
Neutral-atom scattering factors, no anomalous dispersion.

Cell and atoms:
```
data_Li2ZnPt2O6
_chemical_formula_sum 'Li4 Zn2 Pt4 O12'
_cell_length_a 5.3311
_cell_length_b 9.4264
_cell_length_c 5.1910
_cell_angle_alpha 90.00
_cell_angle_beta 110.12
_cell_angle_gamma 90.00
_symmetry_space_group_name_H-M 'C 1 2/m 1'
_symmetry_Int_Tables_number 12
_symmetry_space_group_name_Hall '-C 2y'
loop_
_atom_site_label
_atom_site_type_symbol
_atom_site_fract_x
_atom_site_fract_y
_atom_site_fract_z
Li1 Li 0.0000 0.1705 0.0000
Zn1 Zn 0.0000 0.0000 0.5000
Pt1 Pt 0.0000 0.3357 0.5000
O1 O 0.2411 0.5000 0.7129
O2 O 0.2443 0.1793 0.7212
```

The 10 most intense peaks (10 to 90 degrees two-theta), most intense first:
- hkl 0 0 1, 18.20 deg, I = 100
- hkl 1 3 0, 33.68 deg, I = 39
- hkl 1 3 1, 41.53 deg, I = 35
- hkl 1 3 -1, 35.35 deg, I = 24
- hkl 2 0 -1, 34.18 deg, I = 18
- hkl 2 0 -2, 41.91 deg, I = 17
- hkl 1 3 -2, 45.65 deg, I = 15
- hkl 3 3 -2, 63.05 deg, I = 14
- hkl 3 3 -1, 59.79 deg, I = 12
- hkl 2 0 0, 35.88 deg, I = 12


[4]
Ac5Pm2SmY: computed XRD peak list (a wavelength of 1.5418 Å), based on the GGA-PBE geometry in Alexandria.
Neutral-atom scattering factors, no anomalous dispersion.

Cell and atoms:
```
data_Ac5Pm2SmY
_chemical_formula_sum 'Ac20 Pm8 Sm4 Y4'
_cell_length_a 5.8439
_cell_length_b 22.6096
_cell_length_c 11.1271
_cell_angle_alpha 90.00
_cell_angle_beta 90.00
_cell_angle_gamma 90.00
_symmetry_space_group_name_H-M 'C m c m'
_symmetry_Int_Tables_number 63
_symmetry_space_group_name_Hall '-C 2c 2'
loop_
_atom_site_label
_atom_site_type_symbol
_atom_site_fract_x
_atom_site_fract_y
_atom_site_fract_z
Ac1 Ac 0.0000 0.0000 0.0000
Ac2 Ac 0.0000 0.1299 0.2500
Ac3 Ac 0.0000 0.2184 0.5636
Ac4 Ac 0.0000 0.4977 0.2500
Pm1 Pm 0.0000 0.3871 0.5056
Sm1 Sm 0.0000 0.3030 0.2500
Y1 Y 0.0000 0.0984 0.7500
```

The 10 most intense peaks (10 to 90 degrees two-theta), most intense first:
- hkl 1 5 2, 29.70 deg, I = 100
- hkl 2 0 0, 30.60 deg, I = 35
- hkl 1 1 3, 28.78 deg, I = 29
- hkl 1 3 2, 25.06 deg, I = 21
- hkl 3 5 2, 53.83 deg, I = 20
- hkl 0 0 4, 32.18 deg, I = 16
- hkl 1 3 6, 53.26 deg, I = 16
- hkl 0 6 1, 24.94 deg, I = 14
- hkl 0 10 0, 39.87 deg, I = 13
- hkl 2 0 4, 44.99 deg, I = 13


[5]
In12Hg7Bi: computed XRD peak list (a wavelength of 1.5418 Å), based on the GGA-PBE geometry in Alexandria.
Neutral-atom scattering factors, no anomalous dispersion.

Cell and atoms:
```
data_In12Hg7Bi
_chemical_formula_sum 'In12 Hg7 Bi1'
_cell_length_a 7.3703
_cell_length_b 8.9433
_cell_length_c 9.0359
_cell_angle_alpha 88.82
_cell_angle_beta 73.58
_cell_angle_gamma 75.80
_symmetry_space_group_name_H-M 'P -1'
_symmetry_Int_Tables_number 2
_symmetry_space_group_name_Hall '-P 1'
loop_
_atom_site_label
_atom_site_type_symbol
_atom_site_fract_x
_atom_site_fract_y
_atom_site_fract_z
In1 In 0.0208 0.3047 0.3009
In2 In 0.2157 0.9323 0.3205
In3 In 0.2405 0.9309 0.6637
In4 In 0.3147 0.2487 0.5106
In5 In 0.4127 0.5248 0.6875
In6 In 0.4764 0.1731 0.1256
Hg1 Hg 0.0923 0.8338 0.0376
Hg2 Hg 0.1402 0.6076 0.3369
Hg3 Hg 0.3441 0.1946 0.8419
Hg4 Hg 0.5000 0.5000 0.0000
Bi1 Bi 0.0000 0.5000 0.0000
```

The 10 most intense peaks (10 to 90 degrees two-theta), most intense first:
- hkl 2 -1 0, 30.42 deg, I = 100
- hkl 3 2 1, 38.38 deg, I = 64
- hkl 2 0 -1, 30.72 deg, I = 54
- hkl 1 1 3, 31.19 deg, I = 43
- hkl 0 0 3, 30.99 deg, I = 42
- hkl 0 3 -1, 32.18 deg, I = 38
- hkl 0 0 1, 10.22 deg, I = 23
- hkl 1 -2 3, 37.52 deg, I = 23
- hkl 2 2 1, 28.46 deg, I = 21
- hkl -4 1 1, 61.63 deg, I = 19


[6]
LaAlCo2H8: computed XRD peak list (a wavelength of 1.5418 Å), based on the GGA-PBE geometry in Alexandria.
Neutral-atom scattering factors, no anomalous dispersion.

Cell and atoms:
```
data_LaAlCo2H8
_chemical_formula_sum 'La3 Al3 Co6 H24'
_cell_length_a 4.4128
_cell_length_b 4.4128
_cell_length_c 17.0783
_cell_angle_alpha 90.00
_cell_angle_beta 90.00
_cell_angle_gamma 120.00
_symmetry_space_group_name_H-M 'R -3'
_symmetry_Int_Tables_number 148
_symmetry_space_group_name_Hall '-R 3'
loop_
_atom_site_label
_atom_site_type_symbol
_atom_site_fract_x
_atom_site_fract_y
_atom_site_fract_z
La1 La 0.0000 0.0000 0.0000
Al1 Al 0.0000 0.0000 0.5000
Co1 Co 0.0000 0.0000 0.1937
H1 H 0.0000 0.0000 0.2927
H2 H 0.0123 0.2810 0.8811
```

The 10 most intense peaks (10 to 90 degrees two-theta), most intense first:
- hkl 0 0 6, 31.42 deg, I = 100
- hkl 1 0 1, 23.86 deg, I = 94
- hkl 1 1 0, 40.90 deg, I = 79
- hkl 0 1 5, 35.24 deg, I = 75
- hkl 2 -1 6, 52.47 deg, I = 64
- hkl 0 1 11, 64.79 deg, I = 25
- hkl 3 0 0, 74.50 deg, I = 25
- hkl 1 0 10, 59.26 deg, I = 24
- hkl 2 2 0, 88.68 deg, I = 23
- hkl 2 0 5, 55.07 deg, I = 21